Record 1
The following is a theoretical powder XRD pattern of Th3MnCd. It was derived from the GGA-PBE geometry in Alexandria, using Cu Ka.
Neutral-atom scattering factors, no anomalous dispersion.

Cell and atoms:
a b c (Å): 9.047 6.611 10.513
angles (deg): 90.00 120.02 90.00
Atoms (fractional coordinates):
Th: 0.107 0.063 0.312
Th: 0.107 0.437 0.812
Th: 0.223 0.545 0.554
Th: 0.223 0.955 0.054
Th: 0.305 0.034 0.702
Th: 0.305 0.466 0.202
Th: 0.695 0.534 0.798
Th: 0.695 0.966 0.298
Th: 0.777 0.045 0.946
Th: 0.777 0.455 0.446
Th: 0.893 0.563 0.188
Th: 0.893 0.937 0.688
Mn: 0.020 0.190 0.525
Mn: 0.020 0.310 0.025
Mn: 0.980 0.690 0.975
Mn: 0.980 0.810 0.475
Cd: 0.484 0.712 0.969
Cd: 0.484 0.788 0.469
Cd: 0.516 0.212 0.531
Cd: 0.516 0.288 0.031

Top 10 peaks for 2θ from 10° to 90°, by intensity:
2θ 32.0, rel. 100
2θ 29.0, rel. 89
2θ 29.7, rel. 56
2θ 32.5, rel. 53
2θ 35.5, rel. 43
2θ 30.0, rel. 41
2θ 27.0, rel. 37
2θ 56.8, rel. 32
2θ 34.3, rel. 28
2θ 34.6, rel. 24

Record 2
The following is a theoretical powder XRD pattern of MnCd2W. It was derived from the GGA-PBE geometry in Alexandria, using Cu Ka.
Neutral-atom scattering factors, no anomalous dispersion.

Cell and atoms:
a b c (Å): 9.707 9.707 9.707
angles (deg): 17.49 17.49 17.49
Atoms (fractional coordinates):
Mn: 0.000 0.000 0.000
Cd: 0.250 0.250 0.250
Cd: 0.484 0.484 0.484
W: 0.728 0.728 0.728

Top 10 peaks for 2θ from 10° to 90°, by intensity:
2θ 37.4, rel. 100
2θ 43.5, rel. 53
2θ 63.0, rel. 22
2θ 28.0, rel. 20
2θ 37.7, rel. 19
2θ 55.0, rel. 15
2θ 75.8, rel. 14
2θ 38.6, rel. 12
2θ 75.6, rel. 12
2θ 66.4, rel. 12

Record 3
The following is a theoretical powder XRD pattern of YMnCd. It was derived from the GGA-PBE geometry in Alexandria, using Cu Ka.
Neutral-atom scattering factors, no anomalous dispersion.

Cell and atoms:
a b c (Å): 4.772 4.772 3.503
angles (deg): 90.00 90.00 120.00
Atoms (fractional coordinates):
Y: 0.000 0.000 0.000
Mn: 0.333 0.667 0.500
Cd: 0.667 0.333 0.500

Top 10 peaks for 2θ from 10° to 90°, by intensity:
2θ 33.5, rel. 100
2θ 37.7, rel. 73
2θ 51.3, rel. 29
2θ 65.4, rel. 27
2θ 66.2, rel. 26
2θ 68.1, rel. 12
2θ 21.5, rel. 12
2θ 52.2, rel. 9
2θ 46.0, rel. 8
2θ 80.5, rel. 7

Record 4
The following is a theoretical powder XRD pattern of MnZnCd. It was derived from the GGA-PBE geometry in Alexandria, using Cu Ka.
Neutral-atom scattering factors, no anomalous dispersion.

Cell and atoms:
a b c (Å): 8.171 8.171 4.419
angles (deg): 90.00 90.00 159.77
Atoms (fractional coordinates):
Mn: 0.051 0.949 0.750
Mn: 0.949 0.051 0.250
Zn: 0.412 0.588 0.750
Zn: 0.588 0.412 0.250
Cd: 0.295 0.705 0.250
Cd: 0.705 0.295 0.750

Top 10 peaks for 2θ from 10° to 90°, by intensity:
2θ 41.1, rel. 100
2θ 39.3, rel. 49
2θ 40.8, rel. 40
2θ 30.0, rel. 37
2θ 35.5, rel. 32
2θ 55.2, rel. 20
2θ 76.1, rel. 16
2θ 74.5, rel. 16
2θ 73.3, rel. 13
2θ 78.7, rel. 12

Record 5
The following is a theoretical powder XRD pattern of ZrMn2Cd. It was derived from the GGA-PBE geometry in Alexandria, using Cu Ka.
Neutral-atom scattering factors, no anomalous dispersion.

Cell and atoms:
a b c (Å): 5.541 5.541 5.541
angles (deg): 146.82 132.26 59.38
Atoms (fractional coordinates):
Zr: 0.000 0.000 0.000
Mn: 0.525 0.525 0.000
Mn: 0.721 0.221 0.500
Cd: 0.277 0.777 0.500

Top 10 peaks for 2θ from 10° to 90°, by intensity:
2θ 39.6, rel. 100
2θ 40.2, rel. 26
2θ 37.4, rel. 24
2θ 34.4, rel. 18
2θ 72.7, rel. 15
2θ 56.1, rel. 14
2θ 29.7, rel. 10
2θ 68.9, rel. 10
2θ 58.3, rel. 8
2θ 85.2, rel. 8

Record 6
The following is a theoretical powder XRD pattern of Cd3Mo. It was derived from the GGA-PBE geometry in Alexandria, using Cu Ka.
Neutral-atom scattering factors, no anomalous dispersion.

Cell and atoms:
a b c (Å): 6.102 6.102 4.862
angles (deg): 90.00 90.00 120.00
Atoms (fractional coordinates):
Cd: 0.170 0.340 0.250
Cd: 0.170 0.830 0.250
Cd: 0.340 0.170 0.750
Cd: 0.660 0.830 0.250
Cd: 0.830 0.170 0.750
Cd: 0.830 0.660 0.750
Mo: 0.333 0.667 0.750
Mo: 0.667 0.333 0.250

Top 10 peaks for 2θ from 10° to 90°, by intensity:
2θ 38.8, rel. 100
2θ 37.0, rel. 26
2θ 33.9, rel. 24
2θ 73.2, rel. 19
2θ 67.8, rel. 18
2θ 60.7, rel. 17
2θ 51.0, rel. 15
2θ 74.4, rel. 14
2θ 83.2, rel. 3
2θ 88.5, rel. 3